No. 1
# Na2Hg5Pb
Theoretical X-ray diffraction stick pattern, CuKα. Input: a GGA-PBE-relaxed structure.
Intensities are scaled so that the largest is 100.

Top 12 peaks for 2θ from 10° to 90°, sorted by position:
two_theta, I_rel
18.28, 33
32.84, 51
32.98, 100
33.13, 49
37.06, 73
40.60, 29
53.41, 26
55.94, 23
56.32, 22
64.09, 30
64.31, 15
64.39, 15

Crystal structure
```
Na2Hg5Pb
1.0
11.181 0.000 0.000
0.000 6.862 0.000
-4.163 0.000 5.455
Na Hg Pb
4 10 2
Cartesian
0.000 0.000 0.000
9.101 3.431 2.723
3.510 0.000 2.723
5.591 3.431 0.000
-2.075 0.000 2.723
-1.370 1.717 5.451
0.718 1.720 2.723
0.718 5.142 2.723
-1.370 5.145 5.451
3.515 3.431 2.723
6.309 1.711 2.723
4.221 1.714 5.451
4.221 5.148 5.451
6.309 5.151 2.723
1.424 0.000 5.447
7.015 3.431 5.447
```


No. 2
# AcCe3
Theoretical X-ray diffraction stick pattern, CuKα. Input: a GGA-PBE-relaxed structure.
Intensities are scaled so that the largest is 100.

Top 12 peaks for 2θ from 10° to 90°, sorted by position:
two_theta, I_rel
28.91, 17
29.02, 17
30.74, 36
32.83, 100
32.93, 36
42.74, 24
51.37, 16
56.01, 29
60.88, 10
61.06, 19
62.19, 12
62.44, 9

Crystal structure
```
AcCe3
1.0
3.571 0.000 0.000
0.000 11.634 0.000
0.000 0.000 6.154
Ac Ce
2 6
Cartesian
0.000 0.000 0.000
1.786 5.817 3.077
0.000 2.798 2.246
0.000 5.817 0.083
0.000 8.836 2.246
1.786 0.000 3.160
1.786 3.019 5.323
1.786 8.615 5.323
```


No. 3
# Ca4ReNi
Theoretical X-ray diffraction stick pattern, CuKα. Input: a GGA-PBE-relaxed structure.
Intensities are scaled so that the largest is 100.

Top 12 peaks for 2θ from 10° to 90°, sorted by position:
two_theta, I_rel
17.91, 33
20.71, 16
29.45, 64
34.68, 100
36.27, 17
52.24, 26
55.67, 33
61.10, 21
69.27, 11
72.21, 11
84.51, 13
87.30, 21

Crystal structure
```
Ca4ReNi
1.0
0.000 4.290 4.290
4.290 0.000 4.290
4.290 4.290 0.000
Ca Re Ni
4 1 1
Cartesian
3.224 3.224 3.224
5.355 5.355 3.224
5.355 3.224 5.355
3.224 5.355 5.355
6.434 6.434 6.434
0.000 0.000 0.000
```